The following is a simulated powder XRD pattern of Li7Mg3Tl. It was derived from a PBE-relaxed structure, using Cu Kα (weighted mean of Kα1 and Kα2).
No peak broadening, texture or thermal motion is included.

Main lines, most intense first (2θ = 5–70°):
(0 2 0), 8.6°, I = 100; (0 2 2), 14.8°, I = 62; (0 4 2), 21.1°, I = 55; (0 0 2), 12.0°, I = 53; (1 3 2), 34.5°, I = 29; (1 1 2), 32.2°, I = 27; (1 1 4), 38.7°, I = 23; (0 0 4), 24.1°, I = 22

Structural model:
```
data_Li7Mg3Tl
_chemical_formula_sum 'Li28 Mg12 Tl4'
_cell_length_a 3.038
_cell_length_b 20.526
_cell_length_c 14.753
_cell_angle_alpha 90.00
_cell_angle_beta 90.00
_cell_angle_gamma 90.00
_space_group_name_H-M_alt 'C m c m'
_space_group_IT_number 63
_space_group_name_Hall '-C 2c 2'
loop_
_atom_site_label
_atom_site_fract_x
_atom_site_fract_y
_atom_site_fract_z
_atom_site_occupancy
Li1 0.000 0.000 0.088 1
Li2 0.000 0.112 0.250 1
Li3 0.000 0.125 0.654 1
Li4 0.000 0.244 0.579 1
Mg1 0.000 0.258 0.250 1
Mg2 0.000 0.378 0.533 1
Tl1 0.000 0.482 0.250 1
```